Diffraction record for Sr8In4Cu3Sb5. The powder diffraction line list is theoretical, not measured: it uses a structure optimized by DFT (PBE) and λ = 1.5418 Å (Cu Kα).

Structure:
Cell lengths 12.596, 12.596, 12.596 Å; angles 157.99, 109.93, 74.46 degrees
Element x y z (fractional)
1 Sr 0.064 0.194 0.870
2 Sr 0.219 0.404 0.815
3 Sr 0.323 0.194 0.130
4 Sr 0.411 0.596 0.815
5 Sr 0.589 0.404 0.185
6 Sr 0.677 0.806 0.870
7 Sr 0.781 0.596 0.185
8 Sr 0.936 0.806 0.130
9 In 0.078 0.578 0.500
10 In 0.114 0.000 0.114
11 In 0.886 0.000 0.886
12 In 0.922 0.422 0.500
13 Cu 0.375 0.875 0.500
14 Cu 0.500 0.000 0.500
15 Cu 0.625 0.125 0.500
16 Sb 0.157 0.804 0.353
17 Sb 0.451 0.804 0.647
18 Sb 0.500 0.500 0.000
19 Sb 0.549 0.196 0.353
20 Sb 0.843 0.196 0.647

Peak list (10 most intense, 10° ≤ 2θ ≤ 90°, in order of falling intensity)
two_theta  I/Imax
28.98  1000
37.37  560
26.19  442
31.26  395
38.39  388
15.11  295
60.02  280
22.77  255
27.67  207
36.48  206